Starting from a DFT-relaxed cell (PBE, Alexandria), the powder diffractogram of TbSc5 was simulated for CuKα.
No peak broadening, texture or thermal motion is included.

Structural model:
```
data_TbSc5
_cell_length_a 5.290
_cell_length_b 16.394
_cell_length_c 3.568
_cell_angle_alpha 90.00
_cell_angle_beta 90.00
_cell_angle_gamma 90.00
_space_group_name_H-M_alt 'C m m m'
_space_group_IT_number 65
_space_group_name_Hall '-C 2 2'
loop_
_atom_site_label
_atom_site_fract_x
_atom_site_fract_y
_atom_site_fract_z
_atom_site_occupancy
Tb1 0.000 0.000 0.000 1
Sc1 0.000 0.183 0.500 1
Sc2 0.000 0.345 0.000 1
Sc3 0.000 0.500 0.500 1
```

Most intense lines, 2θ from 10° to 90°, in order of rising 2θ:
| d/Å | I_rel | hkl |
| --- | --- | --- |
| 8.197 | 29.8 | 0 2 0 |
| 2.732 | 26.0 | 0 6 0 |
| 2.645 | 27.1 | 2 0 0 |
| 2.601 | 100.0 | 1 3 1 |
| 1.901 | 17.1 | 2 6 0 |
| 1.519 | 17.5 | 3 3 1 |